This entry pairs a crystal structure of La6CoPb2 with its simulated X-ray powder pattern. Radiation: CuKα. Structure: DFT lattice parameters and positions (PBE).
Peak positions follow from Bragg's law for the DFT cell and can differ from measured ones.

Atomic structure:
```
La6CoPb2
1.0
7.387 0.000 0.000
0.000 7.387 0.000
0.000 0.000 10.438
La Co Pb
12 2 4
Cartesian
0.000 0.000 2.595
0.000 0.000 7.843
1.816 1.824 0.000
1.824 5.571 0.000
1.870 1.878 5.219
1.878 5.517 5.219
3.694 3.694 2.624
3.694 3.694 7.814
5.509 1.870 5.219
5.517 5.509 5.219
5.563 1.816 0.000
5.571 5.563 0.000
0.000 0.000 5.219
3.694 3.694 0.000
0.000 3.694 2.609
0.000 3.694 7.828
3.694 0.000 2.609
3.694 0.000 7.828
```

The 6 most intense peaks (2θ = 5–70°), by angle:
| two_theta | I_rel | hkl |
| --- | --- | --- |
| 24.10 | 7 | 2 0 0 |
| 29.63 | 100 | 2 0 2 |
| 34.35 | 62 | 2 2 0 |
| 49.36 | 45 | 4 0 0 |
| 58.63 | 44 | 2 0 6 |
| 61.52 | 15 | 4 0 4 |